(1)
Simulated powder diffractogram of Ta4RuC2 for Cu Kα, from a DFT-relaxed cell (PBE, Alexandria).
No peak broadening, texture or thermal motion is included.

Most intense lines, 10 to 90 degrees two-theta, in order of rising 2θ:
2θ (°), I_rel
33.5, 33
35.6, 97
36.5, 41
38.0, 91
38.6, 100
41.1, 23
56.7, 19
58.5, 22
70.0, 27
70.4, 27

Structural model:
```
Ta4RuC2
1.0
1.5782 -5.4531 0.0000
1.5782 5.4531 0.0000
0.0000 0.0000 11.3910
Ta Ru C
8 2 4
direct
0.0000 0.0000 0.0000 Ta
0.0000 0.0000 0.5000 Ta
0.2666 0.7334 0.6075 Ta
0.2666 0.7334 0.8925 Ta
0.4168 0.5832 0.2500 Ta
0.5832 0.4168 0.7500 Ta
0.7334 0.2666 0.1075 Ta
0.7334 0.2666 0.3925 Ta
0.1041 0.8959 0.2500 Ru
0.8959 0.1041 0.7500 Ru
0.3657 0.6343 0.0606 C
0.3657 0.6343 0.4394 C
0.6343 0.3657 0.5606 C
0.6343 0.3657 0.9394 C
```

---

(2)
Simulated powder diffractogram of Ce4ThPa for Cu Kα, from a DFT-relaxed cell (PBE, Alexandria).
No peak broadening, texture or thermal motion is included.

Most intense lines, 10 to 90 degrees two-theta, in order of rising 2θ:
2θ (°), I_rel
32.5, 100
37.6, 34
38.0, 16
54.3, 12
54.5, 23
64.7, 28
65.2, 13
68.2, 12
89.4, 6
89.8, 11

Structural model:
```
Ce4ThPa
1.0
3.3794 0.0000 0.0000
0.0000 3.3794 0.0000
0.0000 0.0000 14.2126
Ce Th Pa
4 1 1
direct
0.0000 0.0000 0.1604 Ce
0.0000 0.0000 0.8396 Ce
0.5000 0.5000 0.3257 Ce
0.5000 0.5000 0.6743 Ce
0.0000 0.0000 0.5000 Th
0.5000 0.5000 0.0000 Pa
```

---

(3)
Simulated powder diffractogram of TbU2Tl2S6 for Cu Kα, from a DFT-relaxed cell (PBE, Alexandria).
No peak broadening, texture or thermal motion is included.

Most intense lines, 10 to 90 degrees two-theta, in order of rising 2θ:
2θ (°), I_rel
11.7, 26
16.7, 21
23.4, 46
26.8, 91
30.1, 100
30.2, 49
41.0, 38
45.1, 50
51.4, 28
55.2, 27

Structural model:
```
TbU2Tl2S6
1.0
3.4755 -6.0305 0.0000
3.4755 6.0305 0.0000
-2.2706 0.0000 7.5925
Tb U Tl S
1 2 2 6
direct
0.0000 0.0000 0.0000 Tb
0.3342 0.6658 0.0000 U
0.6658 0.3342 0.0000 U
0.1647 0.8353 0.5000 Tl
0.8353 0.1647 0.5000 Tl
0.0610 0.4005 0.1933 S
0.2724 0.2724 0.8059 S
0.4005 0.0610 0.1933 S
0.5995 0.9390 0.8067 S
0.7276 0.7276 0.1941 S
0.9390 0.5995 0.8067 S
```

---

(4)
Simulated powder diffractogram of Tl4H5Br for Cu Kα, from a DFT-relaxed cell (PBE, Alexandria).
No peak broadening, texture or thermal motion is included.

Most intense lines, 10 to 90 degrees two-theta, in order of rising 2θ:
2θ (°), I_rel
25.0, 89
26.3, 100
27.2, 24
28.2, 28
29.2, 60
32.3, 21
42.9, 28
48.6, 20
48.8, 19
50.8, 24

Structural model:
```
Tl4H5Br
1.0
8.3206 0.0000 0.0000
0.0000 9.0004 0.0000
0.0000 0.0000 5.8225
Tl H Br
8 10 2
direct
0.0166 0.2500 0.0657 Tl
0.2500 0.0454 0.5812 Tl
0.2500 0.4546 0.5812 Tl
0.4834 0.2500 0.0657 Tl
0.5166 0.7500 0.9343 Tl
0.7500 0.5454 0.4188 Tl
0.7500 0.9546 0.4188 Tl
0.9834 0.7500 0.9343 Tl
0.0727 0.5816 0.7750 H
0.0727 0.9184 0.7750 H
0.2500 0.2500 0.9722 H
0.4273 0.5816 0.7750 H
0.4273 0.9184 0.7750 H
0.5727 0.0816 0.2250 H
0.5727 0.4184 0.2250 H
0.7500 0.7500 0.0278 H
0.9273 0.0816 0.2250 H
0.9273 0.4184 0.2250 H
0.2500 0.7500 0.2868 Br
0.7500 0.2500 0.7131 Br
```

---

(5)
Simulated powder diffractogram of CsInAgCl6 for Cu Kα, from a DFT-relaxed cell (PBE, Alexandria).
No peak broadening, texture or thermal motion is included.

Most intense lines, 10 to 90 degrees two-theta, in order of rising 2θ:
2θ (°), I_rel
11.5, 75
18.1, 100
19.2, 88
19.4, 95
24.9, 28
26.7, 43
29.5, 28
32.9, 50
36.2, 82
45.0, 38

Structural model:
```
CsInAgCl6
1.0
6.6952 0.0000 0.0000
-2.8706 6.0526 0.0000
-0.2987 -0.4605 7.7219
Cs In Ag Cl
1 1 1 6
direct
0.0000 0.0000 0.0000 Cs
0.6580 0.3420 0.4998 In
0.3146 0.6857 0.5000 Ag
0.3560 0.0317 0.6673 Cl
0.3635 0.4050 0.3069 Cl
0.5954 0.6360 0.6929 Cl
0.6226 0.0481 0.2822 Cl
0.9525 0.3765 0.7169 Cl
0.9681 0.6445 0.3326 Cl
```

---

(6)
Simulated powder diffractogram of K4MgNp3S8 for Cu Kα, from a DFT-relaxed cell (PBE, Alexandria).
No peak broadening, texture or thermal motion is included.

Most intense lines, 10 to 90 degrees two-theta, in order of rising 2θ:
2θ (°), I_rel
11.7, 90
12.7, 22
17.3, 23
25.6, 63
28.3, 54
35.1, 100
44.4, 25
45.2, 32
55.3, 21
58.5, 22

Structural model:
```
K4MgNp3S8
1.0
8.0230 0.0000 0.0000
-4.0115 6.9481 0.0000
0.0000 0.0000 7.5588
K Mg Np S
4 1 3 8
direct
0.0000 0.0000 0.0000 K
0.0000 0.5000 0.0000 K
0.5000 0.0000 0.0000 K
0.5000 0.5000 0.0000 K
0.0000 0.0000 0.5000 Mg
0.0000 0.5000 0.5000 Np
0.5000 0.0000 0.5000 Np
0.5000 0.5000 0.5000 Np
0.1649 0.3298 0.3041 S
0.1649 0.8351 0.3041 S
0.3298 0.1649 0.6959 S
0.3333 0.6667 0.6996 S
0.6667 0.3333 0.3004 S
0.6702 0.8351 0.3041 S
0.8351 0.1649 0.6959 S
0.8351 0.6702 0.6959 S
```